The following is a computed XRD peak list of TbPr2YS6. It was derived from the PBE geometry in Alexandria, using CuKα.
Intensities are scaled so that the largest is 100.

```
data_TbPr2YS6
_space_group_name_H-M_alt 'R 3'
_space_group_IT_number 146
_space_group_name_Hall 'R 3'
_cell_length_a 7.1045
_cell_length_b 7.1045
_cell_length_c 18.6689
_cell_angle_alpha 90.00
_cell_angle_beta 90.00
_cell_angle_gamma 120.00
loop_
_atom_site_label
_atom_site_type_symbol
_atom_site_fract_x
_atom_site_fract_y
_atom_site_fract_z
Tb1 Tb 0.0000 0.0000 0.0000
Pr1 Pr 0.0000 0.0000 0.2930
Pr2 Pr 0.0000 0.0000 0.7931
Y1 Y 0.0000 0.0000 0.4997
S1 S 0.0482 0.6892 0.5687
S2 S 0.0485 0.3600 0.0688
```

The 10 most intense peaks (5° ≤ 2θ ≤ 70°), sorted by position:
2θ (°)	intensity	h k l
17.26	36.0	0 1 2
23.93	100.0	1 0 4
25.07	93.0	1 1 0
28.94	21.7	2 -1 3
34.93	53.1	0 2 4
38.46	71.9	1 1 6
43.48	50.8	2 1 4
44.16	50.4	3 0 0
51.13	21.0	1 0 10
63.95	18.0	3 -1 10